(1)
Starting from a GGA-PBE-relaxed structure, the powder X-ray diffraction pattern of KPH2O2 was calculated for a wavelength of 1.5418 Å.

Peak list (12 most intense, 10° ≤ 2θ ≤ 90°, sorted by position)
- 23.9 deg, d 3.726, I 65
- 25.6 deg, d 3.480, I 28
- 26.6 deg, d 3.353, I 79
- 27.1 deg, d 3.296, I 100
- 27.5 deg, d 3.244, I 69
- 28.8 deg, d 3.104, I 23
- 34.2 deg, d 2.623, I 72
- 36.4 deg, d 2.469, I 21
- 42.7 deg, d 2.119, I 20
- 45.6 deg, d 1.991, I 38
- 46.1 deg, d 1.968, I 27
- 48.1 deg, d 1.893, I 19

Atomic structure:
a b c (Å): 5.256 5.256 7.289
angles (deg): 107.51 107.51 90.30
Sites, in units of the cell vectors:
K1 0.143 0.857 0.750
K2 0.857 0.143 0.250
P1 0.318 0.682 0.250
P2 0.682 0.318 0.750
H1 0.311 0.431 0.101
H2 0.431 0.311 0.601
H3 0.569 0.689 0.399
H4 0.689 0.569 0.899
O1 0.094 0.667 0.340
O2 0.333 0.906 0.160
O3 0.667 0.094 0.840
O4 0.906 0.333 0.660


(2)
Starting from a GGA-PBE-relaxed structure, the powder X-ray diffraction pattern of Zn2AgAu was calculated for a wavelength of 1.5418 Å.

Peak list (12 most intense, 10° ≤ 2θ ≤ 90°, sorted by position)
- 12.5 deg, d 7.072, I 13
- 25.2 deg, d 3.536, I 11
- 29.3 deg, d 3.048, I 15
- 39.0 deg, d 2.309, I 100
- 41.9 deg, d 2.155, I 41
- 49.5 deg, d 1.840, I 7
- 51.7 deg, d 1.768, I 11
- 60.8 deg, d 1.524, I 13
- 68.7 deg, d 1.367, I 18
- 74.6 deg, d 1.272, I 29
- 83.8 deg, d 1.154, I 11
- 89.1 deg, d 1.099, I 9

Atomic structure:
a b c (Å): 3.048 3.048 7.072
angles (deg): 90.00 90.00 90.00
Sites, in units of the cell vectors:
Zn1 0.000 0.000 0.246
Zn2 0.000 0.000 0.754
Ag1 0.500 0.500 0.500
Au1 0.500 0.500 0.000


Question: Number 2 is which compound?
Answer: Zn2AgAu


Please write out number 2 again, unchanged.
Starting from a GGA-PBE-relaxed structure, the powder X-ray diffraction pattern of Zn2AgAu was calculated for a wavelength of 1.5418 Å.

Peak list (12 most intense, 10° ≤ 2θ ≤ 90°, sorted by position)
- 12.5 deg, d 7.072, I 13
- 25.2 deg, d 3.536, I 11
- 29.3 deg, d 3.048, I 15
- 39.0 deg, d 2.309, I 100
- 41.9 deg, d 2.155, I 41
- 49.5 deg, d 1.840, I 7
- 51.7 deg, d 1.768, I 11
- 60.8 deg, d 1.524, I 13
- 68.7 deg, d 1.367, I 18
- 74.6 deg, d 1.272, I 29
- 83.8 deg, d 1.154, I 11
- 89.1 deg, d 1.099, I 9

Atomic structure:
a b c (Å): 3.048 3.048 7.072
angles (deg): 90.00 90.00 90.00
Sites, in units of the cell vectors:
Zn1 0.000 0.000 0.246
Zn2 0.000 0.000 0.754
Ag1 0.500 0.500 0.500
Au1 0.500 0.500 0.000


Question: What is the formula in the first record?
Answer: KPH2O2